ZrIrCl2: calculated powder diffractogram (λ = 1.5418 Å (Cu Kα)), based on a structure optimized by DFT (GGA-PBE).
Lines closer than 0.1° are merged.

Structural model:
```
data_ZrIrCl2
_cell_length_a 3.3644
_cell_length_b 3.3644
_cell_length_c 9.1841
_cell_angle_alpha 101.02
_cell_angle_beta 101.02
_cell_angle_gamma 67.67
_symmetry_space_group_name_H-M 'P 1'
_symmetry_Int_Tables_number 1
loop_
_symmetry_equiv_pos_as_xyz
'x,y,z'
loop_
_atom_site_label
_atom_site_fract_x
_atom_site_fract_y
_atom_site_fract_z
Zr1 0.0000 0.0000 0.0000
Ir1 0.3709 0.3709 0.8102
Cl1 0.5494 0.5494 0.5983
Cl2 0.7536 0.7536 0.2045
```

Most intense lines, 2θ from 10° to 80°, in order of rising 2θ:
- 2θ = 28.94°, I 183
- 2θ = 29.37°, I 210
- 2θ = 31.90°, I 1000
- 2θ = 32.12°, I 270
- 2θ = 32.93°, I 178
- 2θ = 33.06°, I 200
- 2θ = 34.43°, I 458
- 2θ = 37.52°, I 650
- 2θ = 39.20°, I 586
- 2θ = 46.99°, I 371
- 2θ = 48.60°, I 210
- 2θ = 51.10°, I 176